Simulated X-ray powder pattern
Compound: Rb2PdI2F2
Radiation: Cu Ka
Structure: a structure optimized by DFT (GGA-PBE)
Lines closer than 0.1° are merged.

Main lines, by angle (2θ from 5° to 70°):
| index | 2θ/deg | d_spacing | I (rel.) |
| --- | --- | --- | --- |
| 0 0 1 | 12.4 | 7.161 | 53 |
| 1 0 1 | 25.1 | 3.555 | 65 |
| 0 2 1 | 28.0 | 3.186 | 100 |
| 1 2 0 | 33.3 | 2.687 | 33 |
| 0 2 2 | 35.5 | 2.528 | 58 |
| 1 2 2 | 42.0 | 2.151 | 34 |
| 1 2 3 | 51.1 | 1.787 | 26 |
| 2 2 2 | 58.0 | 1.591 | 33 |

Atomic structure:
```
data_Rb2PdI2F2
_chemical_formula_sum 'Rb2 Pd1 I2 F2'
_cell_length_a 4.091
_cell_length_b 7.126
_cell_length_c 7.182
_cell_angle_alpha 90.00
_cell_angle_beta 90.00
_cell_angle_gamma 90.00
_symmetry_space_group_name_H-M 'P m m 2'
_symmetry_Int_Tables_number 25
_symmetry_space_group_name_Hall 'P 2 -2'
loop_
_atom_site_label
_atom_site_type_symbol
_atom_site_fract_x
_atom_site_fract_y
_atom_site_fract_z
Rb1 Rb 0.000 0.000 0.000
Rb2 Rb 0.000 0.500 0.287
Pd1 Pd 0.500 0.000 0.399
I1 I 0.500 0.251 0.652
F1 F 0.500 0.211 0.189
```